For SnTe2Pb, a DFT-relaxed cell (PBE, the Materials Project) gives the simulated X-ray powder pattern in this record (Cu Kα X-rays).
Kinematic intensities with the Lorentz-polarization factor, no thermal factor.

Structure:
```
SnTe2Pb
1.0
2.295 1.325 7.490
-2.295 1.325 7.490
0.000 -2.650 7.490
Sn Te Pb
1 2 1
Direct
0.000 0.000 0.000
0.252 0.252 0.252
0.748 0.748 0.748
0.500 0.500 0.500
```

Peak list (6 most intense, 2θ from 10° to 80°, in order of rising 2θ)
Position (°2θ), d_spacing, intensity
27.49, 3.244, 1000
39.27, 2.294, 780
48.60, 1.873, 283
56.75, 1.622, 134
64.19, 1.451, 371
71.19, 1.325, 275

=====

For SnTe5Pb4, a DFT-relaxed cell (PBE, the Materials Project) gives the simulated X-ray powder pattern in this record (Cu Kα X-rays).
Kinematic intensities with the Lorentz-polarization factor, no thermal factor.

Structure:
```
SnTe5Pb4
1.0
2.329 1.345 18.728
-2.329 1.345 18.728
0.000 -2.690 18.728
Sn Te Pb
1 5 4
Direct
0.000 0.000 0.000
0.100 0.100 0.100
0.301 0.301 0.301
0.500 0.500 0.500
0.699 0.699 0.699
0.900 0.900 0.900
0.200 0.200 0.200
0.400 0.400 0.400
0.600 0.600 0.600
0.800 0.800 0.800
```

Peak list (6 most intense, 2θ from 10° to 80°, in order of rising 2θ)
Position (°2θ), d_spacing, intensity
27.21, 3.277, 1000
38.65, 2.329, 399
39.07, 2.305, 387
47.91, 1.899, 217
63.18, 1.472, 191
63.77, 1.460, 186

=====

For Sn4Te5Pb, a DFT-relaxed cell (PBE, the Materials Project) gives the simulated X-ray powder pattern in this record (Cu Kα X-rays).
Kinematic intensities with the Lorentz-polarization factor, no thermal factor.

Structure:
```
Sn4Te5Pb
1.0
-2.265 2.265 16.326
2.265 -2.265 16.326
2.265 2.265 -16.326
Sn Te Pb
4 5 1
Direct
0.100 0.100 0.000
0.300 0.300 0.000
0.700 0.700 0.000
0.900 0.900 0.000
0.000 0.000 0.000
0.200 0.200 0.000
0.399 0.399 0.000
0.601 0.601 0.000
0.800 0.800 0.000
0.500 0.500 0.000
```

Peak list (6 most intense, 2θ from 10° to 80°, in order of rising 2θ)
Position (°2θ), d_spacing, intensity
27.31, 3.265, 525
27.85, 3.203, 1000
39.41, 2.287, 798
39.80, 2.265, 388
48.94, 1.861, 434
71.98, 1.312, 278

=====

For SnTe2Pb, a DFT-relaxed cell (PBE, the Materials Project) gives the simulated X-ray powder pattern in this record (Cu Kα X-rays).
Kinematic intensities with the Lorentz-polarization factor, no thermal factor.

Structure:
```
SnTe2Pb
1.0
4.585 0.000 0.000
0.000 4.585 0.000
0.000 0.000 6.506
Sn Te Pb
1 2 1
Direct
0.000 0.000 0.000
0.000 0.000 0.500
0.500 0.500 0.000
0.500 0.500 0.500
```

Peak list (6 most intense, 2θ from 10° to 80°, in order of rising 2θ)
Position (°2θ), d_spacing, intensity
27.48, 3.246, 1000
39.26, 2.295, 782
48.59, 1.874, 284
64.05, 1.454, 125
64.22, 1.450, 249
71.20, 1.324, 184